# La2In3Ag2
Theoretical XRD peak list, Cu Kα X-rays. Input: a cell relaxed with GGA-PBE.

Crystal structure
Cell lengths 4.665, 20.592, 7.846 Å; angles 90.00, 90.00, 90.00 degrees
Space group Cmcm (No. 63)
Asymmetric unit:
La (0.000, 0.055, 0.250)
La (0.000, 0.160, 0.750)
In (0.000, 0.224, 0.250)
In (0.000, 0.437, 0.069)
Ag (0.000, 0.309, 0.557)

Peak list (6 most intense, 2θ = 10–90°, sorted by position)
| d (Å) | 2θ (°) | I (rel.) | hkl |
| --- | --- | --- | --- |
| 2.971 | 30.1 | 94 | 1 1 2 |
| 2.873 | 31.1 | 100 | 1 5 1 |
| 2.574 | 34.9 | 30 | 0 8 0 |
| 2.332 | 38.6 | 94 | 2 0 0 |
| 2.101 | 43.0 | 22 | 1 7 2 |
| 1.649 | 55.7 | 31 | 2 4 3 |